Computed X-ray diffraction stick pattern
Compound: Zr4As3P
Radiation: Cu Kα
Structure: the GGA-PBE geometry in OQMD

Most intense lines, 2θ = 10–90°, in order of falling intensity:
hkl 0 1 3, 34.3 deg, intensity 100
hkl 1 1 0, 48.0 deg, intensity 47
hkl 0 1 2, 30.5 deg, intensity 21
hkl 1 0 5, 44.7 deg, intensity 21
hkl 1 0 4, 39.1 deg, intensity 19
hkl 2 0 3, 60.3 deg, intensity 19
hkl 1 1 8, 77.7 deg, intensity 17
hkl 1 2 3, 80.5 deg, intensity 16
hkl 1 0 0, 27.1 deg, intensity 14
hkl 1 0 6, 50.7 deg, intensity 13
hkl 0 1 1, 28.0 deg, intensity 9
hkl 3 0 0, 89.5 deg, intensity 8

Crystal structure
Cell lengths 3.7944, 3.7944, 12.9011 Å; angles 90.00, 90.00, 120.00 degrees
Atoms (fractional coordinates):
Zr 0.3333 0.6667 0.1190
Zr 0.3333 0.6667 0.3909
Zr 0.6667 0.3333 0.6091
Zr 0.6667 0.3333 0.8810
As 0.0000 0.0000 0.0000
As 0.3333 0.6667 0.7466
As 0.6667 0.3333 0.2534
P 0.0000 0.0000 0.5000